Starting from DFT lattice parameters and positions (PBE+U), the XRD peak list of Fe3P2O10 was computed for CuKα.
Peak positions follow from Bragg's law for the DFT cell and can differ from measured ones.

Top 10 peaks for 10° ≤ 2θ ≤ 90°, in order of rising 2θ:
2θ/deg	I_rel	(hkl)
13.54	31	1 0 0
18.09	31	1 1 0
18.34	18	1 1 -1
26.45	21	1 1 1
26.79	45	2 1 -1
26.98	100	1 1 -2
27.28	35	2 0 0
27.82	25	1 2 -1
39.07	20	1 3 -1
56.29	26	4 0 0

Cell and atoms:
abc: 7.4509 7.4179 7.3827
angles: 90.00 118.67 90.00
Space group P2_1/c (No. 14)
Symmetry-distinct sites (fractional):
Fe (0.0000, 0.0000, 0.0000) x2
Fe (0.2598, 0.2246, 0.7730) x4
P (0.2530, 0.6290, 0.9955) x4
O (0.0720, 0.7337, 0.4118) x4
O (0.2054, 0.5056, 0.8053) x4
O (0.2065, 0.1488, 0.9988) x4
O (0.2571, 0.5138, 0.1690) x4
O (0.4513, 0.7333, 0.0642) x4